Theoretical X-ray powder pattern of SmEuTiNbO6 for Cu Kα, 1.54184 Å, from DFT lattice parameters and positions (PBE).
No peak broadening, texture or thermal motion is included.

Main lines, most intense first (2θ from 10° to 90°):
2θ/deg	d (Å)	intensity
31.63	2.828	100
56.34	1.633	39
45.35	2.000	31
66.07	1.414	19
75.10	1.265	17
39.00	2.309	15
22.22	4.000	10
83.77	1.155	6

Cell and atoms:
abc: 5.6568 5.6568 5.6568
angles: 60.00 60.00 60.00
Sites, in units of the cell vectors:
Sm 0.0000 0.0000 0.0000
Eu 0.5000 0.5000 0.5000
Ti 0.7500 0.7500 0.7500
Nb 0.2500 0.2500 0.2500
O 0.5037 0.5037 0.9963
O 0.5037 0.9963 0.5037
O 0.5037 0.9963 0.9963
O 0.9963 0.5037 0.5037
O 0.9963 0.5037 0.9963
O 0.9963 0.9963 0.5037